No. 1
Computed XRD peak list
Compound: TaCo6Mo
Radiation: a wavelength of 1.5418 Å
Structure: a crystal structure in the Materials Project, relaxed with GGA-PBE
Neutral-atom scattering factors, no anomalous dispersion.

Structural model:
a b c (Å): 5.176 5.176 4.149
angles (deg): 90.00 90.00 120.00
Fractional coordinates of all 8 atoms:
Ta (0.000, 0.000, 0.000)
Co (0.009, 0.504, 0.000)
Co (0.175, 0.350, 0.500)
Co (0.175, 0.825, 0.500)
Co (0.496, 0.504, 0.000)
Co (0.496, 0.991, 0.000)
Co (0.650, 0.825, 0.500)
Mo (0.667, 0.333, 0.500)

Top 8 peaks for 2θ from 10° to 90°, most intense first:
| d (Å) | two_theta | I_rel | (hkl) |
| --- | --- | --- | --- |
| 1.972 | 46.0 | 100 | 2 0 1 |
| 2.074 | 43.6 | 26 | 0 0 2 |
| 2.241 | 40.2 | 26 | 2 0 0 |
| 3.045 | 29.3 | 24 | 1 0 1 |
| 1.098 | 89.2 | 19 | 2 2 2 |
| 1.177 | 81.8 | 17 | 2 0 3 |
| 1.294 | 73.1 | 15 | 2 2 0 |
| 1.522 | 60.8 | 15 | 2 0 2 |



No. 2
Computed XRD peak list
Compound: CoTeMo
Radiation: a wavelength of 1.5418 Å
Structure: a crystal structure in the Materials Project, relaxed with GGA-PBE
Neutral-atom scattering factors, no anomalous dispersion.

Structural model:
a b c (Å): 4.459 4.459 5.550
angles (deg): 90.00 90.00 90.00
Fractional coordinates of all 6 atoms:
Co (0.250, 0.250, 0.226)
Co (0.750, 0.750, 0.774)
Te (0.250, 0.750, 0.500)
Te (0.750, 0.250, 0.500)
Mo (0.250, 0.750, 0.000)
Mo (0.750, 0.250, 0.000)

Top 8 peaks for 2θ from 10° to 90°, most intense first:
| d (Å) | two_theta | I_rel | (hkl) |
| --- | --- | --- | --- |
| 2.083 | 43.4 | 100 | 1 1 2 |
| 2.230 | 40.5 | 63 | 2 0 0 |
| 3.153 | 28.3 | 52 | 1 1 0 |
| 1.257 | 75.6 | 37 | 3 1 2 |
| 3.476 | 25.6 | 21 | 1 0 1 |
| 1.577 | 58.5 | 20 | 2 2 0 |
| 2.775 | 32.3 | 19 | 0 0 2 |
| 1.738 | 52.7 | 19 | 2 0 2 |



No. 3
Computed XRD peak list
Compound: CoTeMo
Radiation: a wavelength of 1.5418 Å
Structure: a crystal structure in the Materials Project, relaxed with GGA-PBE
Neutral-atom scattering factors, no anomalous dispersion.

Structural model:
a b c (Å): 3.792 4.831 5.884
angles (deg): 90.00 90.00 90.00
Fractional coordinates of all 6 atoms:
Co (0.250, 0.250, 0.249)
Co (0.750, 0.750, 0.751)
Te (0.250, 0.750, 0.452)
Te (0.750, 0.250, 0.548)
Mo (0.250, 0.750, 0.000)
Mo (0.750, 0.250, 0.000)

Top 8 peaks for 2θ from 10° to 90°, most intense first:
| d (Å) | two_theta | I_rel | (hkl) |
| --- | --- | --- | --- |
| 2.095 | 43.2 | 100 | 1 1 2 |
| 2.983 | 30.0 | 51 | 1 1 0 |
| 2.415 | 37.2 | 45 | 0 2 0 |
| 3.188 | 28.0 | 24 | 1 0 1 |
| 1.324 | 71.2 | 22 | 1 3 2 |
| 1.896 | 48.0 | 21 | 2 0 0 |
| 1.491 | 62.2 | 19 | 2 2 0 |
| 2.942 | 30.4 | 18 | 0 0 2 |